Rb2CoP4H8O16: calculated XRD peak list (copper Kα), based on DFT lattice parameters and positions (GGA+U).
Kinematic intensities with the Lorentz-polarization factor, no thermal factor.

Structure:
```
Rb2CoP4H8O16
1.0
6.8351 0.0000 0.0000
0.5418 7.1676 0.0000
2.5665 1.0049 7.0776
Rb Co P H O
2 1 4 8 16
direct
0.0924 0.2158 0.2947
0.9076 0.7842 0.7053
0.5000 0.0000 0.5000
0.2273 0.3031 0.7637
0.3480 0.7632 0.2338
0.6520 0.2368 0.7662
0.7727 0.6969 0.2363
0.0961 0.7681 0.0666
0.2576 0.5278 0.4600
0.3800 0.6719 0.7027
0.3839 0.8120 0.8484
0.6161 0.1880 0.1516
0.6200 0.3281 0.2973
0.7424 0.4722 0.5400
0.9039 0.2319 0.9334
0.0317 0.2986 0.9444
0.2306 0.1466 0.6513
0.2509 0.5649 0.3208
0.2600 0.5000 0.6500
0.2731 0.8475 0.0708
0.3077 0.8838 0.3886
0.4051 0.2701 0.8648
0.4508 0.7819 0.7174
0.5492 0.2181 0.2826
0.5949 0.7299 0.1352
0.6923 0.1162 0.6114
0.7269 0.1525 0.9292
0.7400 0.5000 0.3500
0.7491 0.4351 0.6792
0.7694 0.8534 0.3487
0.9683 0.7014 0.0556
```

Top 10 peaks for 2θ = 5–70°, in order of rising 2θ:
d [Å]  I (rel.)  index
7.084  60  0 0 1
4.828  52  1 1 0
3.544  100  0 2 0
3.470  55  1 1 -1
3.370  36  0 2 1
3.166  42  2 1 1
2.904  73  2 -1 0
2.829  36  2 1 2
2.569  35  2 -1 2
2.484  40  -2 1 1